(1)
Calculated powder X-ray diffraction pattern of K5Cd2Au2 for λ = 1.5418 Å (Cu Kα), from a crystal structure in Alexandria, relaxed with PBE.
Peak positions follow from Bragg's law for the DFT cell and can differ from measured ones.

Peak list (10 most intense, 2θ from 10° to 90°, in order of rising 2θ)
2θ = 16.39°, d = 5.408 Å, I = 58, hkl 0 2 0
2θ = 17.53°, d = 5.059 Å, I = 100, hkl 1 1 1
2θ = 18.90°, d = 4.696 Å, I = 42, hkl 2 2 0
2θ = 21.09°, d = 4.212 Å, I = 43, hkl 2 2 -1
2θ = 23.96°, d = 3.713 Å, I = 59, hkl 5 1 -1
2θ = 28.51°, d = 3.131 Å, I = 70, hkl 3 3 0
2θ = 29.85°, d = 2.993 Å, I = 45, hkl 5 1 -2
2θ = 31.36°, d = 2.853 Å, I = 65, hkl 4 2 1
2θ = 38.06°, d = 2.365 Å, I = 46, hkl 8 0 -2
2θ = 39.71°, d = 2.270 Å, I = 55, hkl 1 1 -3

Structural model:
Unit cell a=20.2278 b=10.8161 c=7.1842 alpha=90.00 beta=110.55 gamma=90.00
Space group Cc (No. 9)
Symmetry-distinct sites (fractional):
K 0.0000 0.0432 0.0000 [4 per cell]
K 0.1406 0.4564 0.1394 [4 per cell]
K 0.2137 0.1229 0.0477 [4 per cell]
K 0.3203 0.3153 0.6675 [4 per cell]
K 0.4271 0.1230 0.2632 [4 per cell]
Cd 0.0000 0.3128 0.3292 [4 per cell]
Cd 0.1408 0.1868 0.4683 [4 per cell]
Au 0.0705 0.2500 0.7327 [4 per cell]
Au 0.3205 0.3747 0.1702 [4 per cell]



(2)
Calculated powder X-ray diffraction pattern of NdY2Cd6 for λ = 1.5418 Å (Cu Kα), from a crystal structure in Alexandria, relaxed with PBE.
Peak positions follow from Bragg's law for the DFT cell and can differ from measured ones.

Peak list (10 most intense, 2θ from 10° to 90°, in order of rising 2θ)
2θ = 33.06°, d = 2.709 Å, I = 100, hkl 1 1 1
2θ = 35.88°, d = 2.503 Å, I = 92, hkl 3 0 0
2θ = 44.64°, d = 2.030 Å, I = 12, hkl 3 0 1
2θ = 49.59°, d = 1.838 Å, I = 31, hkl 2 2 1
2θ = 52.75°, d = 1.735 Å, I = 10, hkl 0 0 2
2θ = 62.71°, d = 1.482 Å, I = 30, hkl 4 1 1
2θ = 64.49°, d = 1.445 Å, I = 16, hkl 3 3 0
2θ = 65.45°, d = 1.426 Å, I = 30, hkl 3 0 2
2θ = 85.48°, d = 1.136 Å, I = 13, hkl 5 2 1
2θ = 87.94°, d = 1.110 Å, I = 14, hkl 3 3 2

Structural model:
Unit cell a=8.6692 b=8.6692 c=3.4706 alpha=90.00 beta=90.00 gamma=120.00
Space group P6/mmm (No. 191)
Symmetry-distinct sites (fractional):
Nd 0.0000 0.0000 0.0000 [1 per cell]
Y 0.3333 0.6667 0.0000 [2 per cell]
Cd 0.0000 0.3359 0.5000 [6 per cell]



(3)
Calculated powder X-ray diffraction pattern of Tb8Sm2Y for λ = 1.5418 Å (Cu Kα), from a crystal structure in Alexandria, relaxed with PBE.
Peak positions follow from Bragg's law for the DFT cell and can differ from measured ones.

Peak list (10 most intense, 2θ from 10° to 90°, in order of rising 2θ)
2θ = 24.44°, d = 3.643 Å, I = 12, hkl 0 2 2
2θ = 29.72°, d = 3.006 Å, I = 27, hkl 1 1 4
2θ = 31.95°, d = 2.801 Å, I = 100, hkl 1 2 3
2θ = 32.17°, d = 2.783 Å, I = 36, hkl 2 0 0
2θ = 32.47°, d = 2.758 Å, I = 19, hkl 1 0 5
2θ = 33.26°, d = 2.694 Å, I = 12, hkl 0 3 1
2θ = 33.88°, d = 2.646 Å, I = 13, hkl 0 0 6
2θ = 57.21°, d = 1.610 Å, I = 19, hkl 3 2 3
2θ = 62.85°, d = 1.479 Å, I = 12, hkl 2 3 7
2θ = 63.62°, d = 1.462 Å, I = 13, hkl 1 5 4

Structural model:
Unit cell a=5.5657 b=8.2005 c=15.8737 alpha=90.00 beta=90.00 gamma=90.00
Space group Immm (No. 71)
Symmetry-distinct sites (fractional):
Tb 0.0000 0.0000 0.1600 [4 per cell]
Tb 0.0000 0.2060 0.3628 [8 per cell]
Tb 0.0000 0.2942 0.0000 [4 per cell]
Sm 0.0000 0.5000 0.2019 [4 per cell]
Y 0.0000 0.5000 0.5000 [2 per cell]